Entry 1:
Starting from the PBE geometry in Alexandria, the XRD peak list of BaSiI2N was computed for Cu Kα (λ = 1.5418 Å).

Atomic structure:
abc: 6.268 6.268 3.592
angles: 90.00 90.00 90.00
Sites, in units of the cell vectors:
Ba 0.000 0.000 0.000
Si 0.500 0.500 0.500
I 0.000 0.500 0.500
I 0.500 0.000 0.500
N 0.500 0.500 0.000

Top 12 peaks for 15 to 90 degrees two-theta, low angle first:
- (2 0 0), 2θ 28.48, 3.134 Å, I 92
- (1 0 1), 2θ 28.64, 3.117 Å, I 21
- (1 1 1), 2θ 32.07, 2.791 Å, I 100
- (2 2 0), 2θ 40.72, 2.216 Å, I 34
- (2 1 1), 2θ 40.83, 2.210 Å, I 16
- (3 1 1), 2θ 52.74, 1.736 Å, I 49
- (4 0 0), 2θ 58.97, 1.566 Å, I 17
- (2 0 2), 2θ 59.30, 1.558 Å, I 22
- (4 2 0), 2θ 66.76, 1.401 Å, I 19
- (2 2 2), 2θ 67.08, 1.395 Å, I 15
- (5 1 1), 2θ 83.03, 1.163 Å, I 13
- (4 2 2), 2θ 88.49, 1.105 Å, I 15

Entry 2:
Starting from the PBE geometry in Alexandria, the XRD peak list of ZnCdAg3 was computed for Cu Kα (λ = 1.5418 Å).

Atomic structure:
abc: 7.027 7.008 7.576
angles: 90.00 90.00 90.00
Sites, in units of the cell vectors:
Zn 0.192 0.250 0.084
Zn 0.308 0.750 0.584
Zn 0.692 0.250 0.416
Zn 0.808 0.750 0.916
Cd 0.000 0.000 0.500
Cd 0.000 0.500 0.500
Cd 0.500 0.000 0.000
Cd 0.500 0.500 0.000
Ag 0.128 0.547 0.853
Ag 0.128 0.953 0.853
Ag 0.155 0.750 0.191
Ag 0.345 0.250 0.691
Ag 0.372 0.047 0.353
Ag 0.372 0.453 0.353
Ag 0.628 0.547 0.647
Ag 0.628 0.953 0.647
Ag 0.655 0.750 0.309
Ag 0.845 0.250 0.809
Ag 0.872 0.047 0.147
Ag 0.872 0.453 0.147

Top 12 peaks for 15 to 90 degrees two-theta, low angle first:
- (2 1 0), 2θ 28.42, 3.141 Å, I 20
- (1 2 1), 2θ 30.86, 2.898 Å, I 15
- (2 0 2), 2θ 34.85, 2.574 Å, I 21
- (2 2 0), 2θ 36.20, 2.481 Å, I 29
- (1 2 2), 2θ 37.22, 2.416 Å, I 100
- (1 0 3), 2θ 37.86, 2.376 Å, I 76
- (2 2 1), 2θ 38.17, 2.358 Å, I 89
- (1 1 3), 2θ 40.06, 2.251 Å, I 17
- (3 0 1), 2θ 40.30, 2.238 Å, I 50
- (0 3 1), 2θ 40.41, 2.232 Å, I 22
- (1 2 3), 2θ 46.15, 1.967 Å, I 26
- (0 4 0), 2θ 52.21, 1.752 Å, I 17